No. 1
Starting from a cell relaxed with PBE, the X-ray powder pattern of CaGaI5 was computed for Cu Kα (λ = 1.5418 Å).
Neutral-atom scattering factors, no anomalous dispersion.

Principal peaks in the range 2θ = 15–90°, by intensity:
two_theta  I/Imax  index
25.0  100  1 1 -3
17.2  75  2 0 0
28.1  71  1 3 -2
23.6  68  0 2 2
23.2  68  2 2 0
17.4  66  1 1 -2
21.7  59  2 2 -1
31.4  54  2 0 -4

Atomic structure:
abc: 11.712 11.455 11.380
angles: 90.00 118.23 90.00
Space group C2/c (No. 15)
Inequivalent atoms, fractional coordinates:
Ca: 0.000 0.000 0.000
Ga: 0.000 0.391 0.250
I: 0.000 0.095 0.750
I: 0.007 0.278 0.451
I: 0.192 0.460 0.841

No. 2
Starting from a cell relaxed with PBE, the X-ray powder pattern of CaGa2I6 was computed for Cu Kα (λ = 1.5418 Å).
Neutral-atom scattering factors, no anomalous dispersion.

Principal peaks in the range 2θ = 15–90°, by intensity:
two_theta  I/Imax  index
27.7  100  3 3 -1
21.8  73  4 0 0
24.7  73  1 3 1
27.9  61  2 0 2
41.3  44  1 3 -3
24.4  38  2 0 -2
38.0  27  5 3 1
41.5  24  0 6 0

Atomic structure:
abc: 16.557 13.059 7.587
angles: 90.00 99.82 90.00
Space group C2/c (No. 15)
Inequivalent atoms, fractional coordinates:
Ca: 0.000 0.071 0.250
Ga: 0.075 0.422 0.256
I: 0.115 0.082 0.614
I: 0.123 0.255 0.125
I: 0.150 0.425 0.607

No. 3
Starting from a cell relaxed with PBE, the X-ray powder pattern of CaGaRh2I was computed for Cu Kα (λ = 1.5418 Å).
Neutral-atom scattering factors, no anomalous dispersion.

Principal peaks in the range 2θ = 15–90°, by intensity:
two_theta  I/Imax  index
31.3  100  1 1 1
38.6  61  2 0 0
50.4  56  2 0 2
31.1  56  0 0 2
65.3  48  2 2 2
19.0  44  1 0 0
55.8  20  2 2 0
15.4  20  0 0 1

Atomic structure:
abc: 4.660 4.660 5.743
angles: 90.00 90.00 90.00
Space group P4/mmm (No. 123)
Inequivalent atoms, fractional coordinates:
Ca: 0.000 0.000 0.000
Ga: 0.500 0.500 0.500
Rh: 0.000 0.500 0.500
I: 0.500 0.500 0.000

No. 4
Starting from a cell relaxed with PBE, the X-ray powder pattern of CaInGa2 was computed for Cu Kα (λ = 1.5418 Å).
Neutral-atom scattering factors, no anomalous dispersion.

Principal peaks in the range 2θ = 15–90°, by intensity:
two_theta  I/Imax  index
31.5  100  2 1 0
33.1  62  1 1 3
40.6  48  0 2 0
19.5  45  1 0 2
61.2  45  3 2 3
43.7  44  3 0 3
45.0  41  3 1 2
44.2  34  0 1 5

Atomic structure:
abc: 7.379 4.443 11.551
angles: 90.00 90.00 90.00
Space group Pnma (No. 62)
Inequivalent atoms, fractional coordinates:
Ca: 0.155 0.250 0.146
In: 0.172 0.250 0.447
Ga: 0.016 0.250 0.665
Ga: 0.151 0.250 0.864